Computed X-ray powder pattern
Compound: CsPaS3Br
Radiation: CuKα
Structure: a DFT-relaxed cell (PBE, Alexandria)
Intensities are scaled so that the largest is 100.

Atomic structure:
a = 5.1422 Å, b = 5.8367 Å, c = 23.4809 Å
α = 90.00°, β = 90.00°, γ = 90.00°
Space group Imma (No. 74)
One atom of each set of equivalent atoms:
Cs 0.0000 0.2500 0.0607 (multiplicity 4)
Pa 0.0000 0.2500 0.6855 (multiplicity 4)
S 0.0000 0.0415 0.7953 (multiplicity 8)
S 0.0000 0.2500 0.5788 (multiplicity 4)
Br 0.0000 0.2500 0.3405 (multiplicity 4)

Most intense lines, 2θ from 10° to 90°, sorted by position:
hkl  Position (°2θ)  intensity
0 1 3  18.97  49.7
1 0 3  20.67  100.0
1 1 2  24.29  74.2
0 0 8  30.46  43.3
1 1 6  32.59  50.1
2 0 0  34.90  46.1
1 2 3  37.24  80.2
1 2 5  40.40  38.6

***

Computed X-ray powder pattern
Compound: CsPaSe3Br
Radiation: CuKα
Structure: a DFT-relaxed cell (PBE, Alexandria)
Intensities are scaled so that the largest is 100.

Atomic structure:
a = 5.3649 Å, b = 5.8089 Å, c = 24.4588 Å
α = 90.00°, β = 90.00°, γ = 90.00°
Space group Imma (No. 74)
One atom of each set of equivalent atoms:
Cs 0.0000 0.2500 0.0622 (multiplicity 4)
Pa 0.0000 0.2500 0.6860 (multiplicity 4)
Se 0.0000 0.0167 0.7949 (multiplicity 8)
Se 0.0000 0.2500 0.5771 (multiplicity 4)
Br 0.0000 0.2500 0.3437 (multiplicity 4)

Most intense lines, 2θ from 10° to 90°, sorted by position:
hkl  Position (°2θ)  intensity
0 1 1  15.68  39.1
1 0 3  19.81  52.6
1 1 2  23.72  89.6
0 0 8  29.21  61.2
1 1 6  31.58  59.8
2 0 0  33.40  74.3
1 2 3  36.88  100.0
1 2 5  39.81  52.9

***

Computed X-ray powder pattern
Compound: Cs4RbPb3Br12
Radiation: CuKα
Structure: a DFT-relaxed cell (PBE, Alexandria)
Intensities are scaled so that the largest is 100.

Atomic structure:
a = 12.0893 Å, b = 12.0893 Å, c = 12.0893 Å
α = 90.00°, β = 90.00°, γ = 90.00°
Space group Im-3m (No. 229)
One atom of each set of equivalent atoms:
Cs 0.2500 0.2500 0.2500 (multiplicity 8)
Rb 0.0000 0.0000 0.0000 (multiplicity 2)
Pb 0.0000 0.0000 0.5000 (multiplicity 6)
Br 0.0000 0.0000 0.2627 (multiplicity 12)
Br 0.0000 0.2500 0.5000 (multiplicity 12)

Most intense lines, 2θ from 10° to 90°, sorted by position:
hkl  Position (°2θ)  intensity
2 0 0  14.65  27.5
2 2 0  20.78  77.0
2 2 2  25.52  26.6
4 0 0  29.56  100.0
4 2 2  36.41  37.4
4 4 0  42.29  74.1
4 4 4  52.44  26.0
8 4 0  69.55  33.3

***

Computed X-ray powder pattern
Compound: CsSbPb2Br8
Radiation: CuKα
Structure: a DFT-relaxed cell (PBE, Alexandria)
Intensities are scaled so that the largest is 100.

Atomic structure:
a = 7.0049 Å, b = 7.2901 Å, c = 9.4934 Å
α = 89.70°, β = 89.63°, γ = 88.84°
Space group P-1 (No. 2)
One atom of each set of equivalent atoms:
Cs 0.0000 0.0000 0.0000 (multiplicity 1)
Sb 0.0000 0.0000 0.5000 (multiplicity 1)
Pb 0.4989 0.4997 0.2519 (multiplicity 2)
Br 0.2367 0.3197 0.4996 (multiplicity 2)
Br 0.2468 0.8416 0.7037 (multiplicity 2)
Br 0.2487 0.8437 0.2954 (multiplicity 2)
Br 0.2665 0.3994 0.0022 (multiplicity 2)

Most intense lines, 2θ from 10° to 90°, sorted by position:
hkl  Position (°2θ)  intensity
1 1 0  17.38  100.0
1 -1 0  17.74  79.6
1 0 2  22.56  46.5
1 0 -2  22.70  47.4
2 1 2  33.77  71.1
2 1 -2  34.05  39.6
2 -1 2  34.25  40.4
-2 1 2  34.36  40.3

***

Computed X-ray powder pattern
Compound: Cs2ScPbBr6
Radiation: CuKα
Structure: a DFT-relaxed cell (PBE, Alexandria)
Intensities are scaled so that the largest is 100.

Atomic structure:
a = 7.8060 Å, b = 7.8075 Å, c = 8.4728 Å
α = 116.85°, β = 117.03°, γ = 90.00°
Space group P-1 (No. 2)
One atom of each set of equivalent atoms:
Cs 0.2492 0.2484 0.4995 (multiplicity 2)
Sc 0.0000 0.5000 0.0000 (multiplicity 1)
Pb 0.5000 0.0000 0.0000 (multiplicity 1)
Br 0.1588 0.1939 0.9954 (multiplicity 2)
Br 0.2085 0.7024 0.4133 (multiplicity 2)
Br 0.3027 0.6596 0.9964 (multiplicity 2)

Most intense lines, 2θ from 10° to 90°, sorted by position:
hkl  Position (°2θ)  intensity
1 -1 1  21.11  42.8
2 0 -1  22.78  84.2
2 -1 0  26.38  40.5
1 2 -2  26.50  71.5
0 0 2  27.42  100.0
2 2 -2  32.44  95.0
1 -3 0  38.88  41.0
-4 2 1  52.42  42.5

***

Computed X-ray powder pattern
Compound: CsSmPb2Br8
Radiation: CuKα
Structure: a DFT-relaxed cell (PBE, Alexandria)
Intensities are scaled so that the largest is 100.

Atomic structure:
a = 6.9912 Å, b = 7.3320 Å, c = 9.5612 Å
α = 89.63°, β = 89.57°, γ = 88.86°
Space group P-1 (No. 2)
One atom of each set of equivalent atoms:
Cs 0.0000 0.0000 0.0000 (multiplicity 1)
Sm 0.0000 0.0000 0.5000 (multiplicity 1)
Pb 0.4989 0.4996 0.2496 (multiplicity 2)
Br 0.2433 0.3215 0.4993 (multiplicity 2)
Br 0.2478 0.8409 0.7068 (multiplicity 2)
Br 0.2497 0.8429 0.2922 (multiplicity 2)
Br 0.2683 0.3951 0.0028 (multiplicity 2)

Most intense lines, 2θ from 10° to 90°, sorted by position:
hkl  Position (°2θ)  intensity
1 1 0  17.36  100.0
1 -1 0  17.71  81.3
1 0 2  22.46  46.0
1 0 -2  22.61  47.0
2 1 2  33.71  40.8
2 1 -2  34.01  40.1
2 -1 2  34.17  38.2
-2 1 2  34.30  38.2

***

Computed X-ray powder pattern
Compound: Cs3SrPb2Br9
Radiation: CuKα
Structure: a DFT-relaxed cell (PBE, Alexandria)
Intensities are scaled so that the largest is 100.

Atomic structure:
a = 8.5069 Å, b = 8.5069 Å, c = 10.3963 Å
α = 90.00°, β = 90.00°, γ = 120.00°
Space group P-3m1 (No. 164)
One atom of each set of equivalent atoms:
Cs 0.0000 0.0000 0.0000 (multiplicity 1)
Cs 0.3333 0.6667 0.6685 (multiplicity 2)
Sr 0.0000 0.0000 0.5000 (multiplicity 1)
Pb 0.3333 0.6667 0.1660 (multiplicity 2)
Br 0.0000 0.5000 0.0000 (multiplicity 3)
Br 0.1670 0.3340 0.3335 (multiplicity 6)

Most intense lines, 2θ from 10° to 90°, sorted by position:
hkl  Position (°2θ)  intensity
1 0 1  14.74  26.5
1 1 0  20.90  72.8
0 2 1  25.67  30.8
2 0 2  29.73  100.0
3 0 0  36.62  36.3
2 2 0  42.54  74.3
0 4 2  52.73  19.8
4 2 2  70.00  34.0

***

Computed X-ray powder pattern
Compound: CsTbPb2Br8
Radiation: CuKα
Structure: a DFT-relaxed cell (PBE, Alexandria)
Intensities are scaled so that the largest is 100.

Atomic structure:
a = 7.0004 Å, b = 7.2665 Å, c = 9.6446 Å
α = 85.51°, β = 83.39°, γ = 87.71°
Space group P-1 (No. 2)
One atom of each set of equivalent atoms:
Cs 0.0000 0.0000 0.0000 (multiplicity 1)
Tb 0.0000 0.0000 0.5000 (multiplicity 1)
Pb 0.4829 0.4981 0.2486 (multiplicity 2)
Br 0.2253 0.8213 0.6958 (multiplicity 2)
Br 0.2319 0.3173 0.4986 (multiplicity 2)
Br 0.2616 0.3991 0.0333 (multiplicity 2)
Br 0.2661 0.8665 0.2834 (multiplicity 2)

Most intense lines, 2θ from 10° to 90°, sorted by position:
hkl  Position (°2θ)  intensity
1 1 0  17.41  100.0
1 -1 0  17.96  82.0
1 0 2  21.35  42.9
1 0 -2  23.76  84.0
2 1 2  31.68  41.7
2 -1 2  33.40  42.3
2 2 0  35.22  44.5
-2 1 2  35.62  39.6

***

Computed X-ray powder pattern
Compound: CsTlPb2Br6
Radiation: CuKα
Structure: a DFT-relaxed cell (PBE, Alexandria)
Intensities are scaled so that the largest is 100.

Atomic structure:
a = 8.3112 Å, b = 8.3137 Å, c = 8.3950 Å
α = 60.34°, β = 60.35°, γ = 60.03°
Space group P1 (No. 1)
One atom of each set of equivalent atoms:
Cs 0.0000 0.0000 0.0000 (multiplicity 1)
Tl 0.4738 0.4745 0.5780 (multiplicity 1)
Pb 0.2617 0.2627 0.2141 (multiplicity 1)
Pb 0.7680 0.7688 0.6956 (multiplicity 1)
Br 0.0382 0.4482 0.9310 (multiplicity 1)
Br 0.1147 0.9175 0.4411 (multiplicity 1)
Br 0.4477 0.5833 0.9307 (multiplicity 1)
Br 0.5281 0.1154 0.4400 (multiplicity 1)
Br 0.5822 0.0395 0.9308 (multiplicity 1)
Br 0.9167 0.5292 0.4399 (multiplicity 1)

Most intense lines, 2θ from 10° to 90°, sorted by position:
hkl  Position (°2θ)  intensity
1 1 0  15.00  41.3
1 1 2  21.16  77.2
2 1 1  21.38  71.1
2 1 0  25.02  36.0
0 2 2  30.26  100.0
1 -1 2  33.79  54.3
1 3 0  37.35  49.9
3 3 2  37.47  48.8

***

Computed X-ray powder pattern
Compound: CsUPbBr6
Radiation: CuKα
Structure: a DFT-relaxed cell (PBE, Alexandria)
Intensities are scaled so that the largest is 100.

Atomic structure:
a = 10.5008 Å, b = 10.9914 Å, c = 15.3623 Å
α = 90.00°, β = 90.00°, γ = 90.00°
Space group Imma (No. 74)
One atom of each set of equivalent atoms:
Cs 0.0000 0.2500 0.0803 (multiplicity 4)
U 0.0000 0.0000 0.5000 (multiplicity 4)
Pb 0.2500 0.2500 0.7500 (multiplicity 4)
Br 0.0000 0.2500 0.4372 (multiplicity 4)
Br 0.0000 0.2500 0.8458 (multiplicity 4)
Br 0.2027 0.0358 0.6248 (multiplicity 16)

Most intense lines, 2θ from 10° to 90°, sorted by position:
hkl  Position (°2θ)  intensity
1 0 1  10.20  44.1
1 2 1  19.12  100.0
2 1 1  19.61  35.8
2 0 2  20.49  60.0
0 4 0  32.59  29.8
2 2 4  33.18  83.0
4 0 0  34.17  26.0
0 2 6  38.80  37.0

***

Computed X-ray powder pattern
Compound: Cs3Pd2Br7
Radiation: CuKα
Structure: a DFT-relaxed cell (PBE, Alexandria)
Intensities are scaled so that the largest is 100.

Atomic structure:
a = 5.3701 Å, b = 5.3701 Å, c = 28.3118 Å
α = 90.00°, β = 90.00°, γ = 90.00°
Space group I4/mmm (No. 139)
One atom of each set of equivalent atoms:
Cs 0.0000 0.0000 0.0000 (multiplicity 2)
Cs 0.0000 0.0000 0.1812 (multiplicity 4)
Pd 0.0000 0.0000 0.4069 (multiplicity 4)
Br 0.0000 0.0000 0.3138 (multiplicity 4)
Br 0.0000 0.0000 0.5000 (multiplicity 2)
Br 0.0000 0.5000 0.0930 (multiplicity 8)

Most intense lines, 2θ from 10° to 90°, sorted by position:
hkl  Position (°2θ)  intensity
1 0 5  22.82  40.3
1 1 0  23.43  49.2
1 1 6  30.21  81.7
0 0 10  31.60  34.5
2 0 0  33.37  100.0
2 0 10  46.62  45.7
2 2 0  47.91  35.4
3 1 6  57.69  25.1

***

Computed X-ray powder pattern
Compound: Cs3PdBr5
Radiation: CuKα
Structure: a DFT-relaxed cell (PBE, Alexandria)
Intensities are scaled so that the largest is 100.

Atomic structure:
a = 9.6765 Å, b = 9.6765 Å, c = 8.2135 Å
α = 90.00°, β = 90.00°, γ = 90.00°
Space group P4/mbm (No. 127)
One atom of each set of equivalent atoms:
Cs 0.0000 0.0000 0.0000 (multiplicity 2)
Cs 0.1676 0.3324 0.5000 (multiplicity 4)
Pd 0.0000 0.5000 0.0000 (multiplicity 2)
Br 0.0000 0.0000 0.5000 (multiplicity 2)
Br 0.1295 0.6295 0.2095 (multiplicity 8)

Most intense lines, 2θ from 10° to 90°, sorted by position:
hkl  Position (°2θ)  intensity
2 0 1  21.31  58.5
2 1 1  23.23  76.5
2 2 0  26.05  33.8
3 1 0  29.18  54.4
2 1 2  30.00  100.0
2 2 2  34.11  32.7
3 1 3  44.42  29.6
4 2 2  47.49  26.7